Entry 1:
Structure and theoretical X-ray powder pattern of Li4Co5NiO12 (a DFT-relaxed cell (PBE+U, the Materials Project); CuKα).
Neutral-atom scattering factors, no anomalous dispersion.

The 10 most intense peaks (2θ = 10–80°), by intensity:
Position (°2θ), Rel. int., hkl
17.8, 100, 4 0 0
46.0, 29, 7 3 -1
37.8, 29, 1 3 1
40.8, 15, 2 0 2
66.5, 14, 5 3 -3
52.1, 13, 6 0 2
59.8, 8, 11 3 -1
59.7, 8, 9 3 1
36.4, 7, 2 0 -2
41.1, 6, 5 3 -1

Atomic structure:
```
data_Li4Co5NiO12
_cell_length_a 20.569
_cell_length_b 8.459
_cell_length_c 4.935
_cell_angle_alpha 90.00
_cell_angle_beta 103.84
_cell_angle_gamma 90.00
_symmetry_space_group_name_H-M 'C 1 2/m 1'
_symmetry_Int_Tables_number 12
_symmetry_space_group_name_Hall '-C 2y'
loop_
_atom_site_label
_atom_site_type_symbol
_atom_site_fract_x
_atom_site_fract_y
_atom_site_fract_z
Li1 Li 0.126 0.248 0.036
Li2 Li 0.126 0.252 0.539
Co1 Co 0.000 0.000 0.000
Co2 Co 0.000 0.167 0.500
Co3 Co 0.000 0.336 0.000
Co4 Co 0.000 0.500 0.500
Co5 Co 0.250 0.164 0.250
Ni1 Ni 0.250 0.000 0.750
O1 O 0.048 0.000 0.720
O2 O 0.048 0.500 0.217
O3 O 0.051 0.332 0.721
O4 O 0.053 0.181 0.221
O5 O 0.199 0.168 0.864
O6 O 0.199 0.333 0.364
O7 O 0.201 0.000 0.371
O8 O 0.201 0.500 0.871
```


Entry 2:
Structure and theoretical X-ray powder pattern of SrLa2Co3O9 (a DFT-relaxed cell (PBE+U, the Materials Project); CuKα).
Neutral-atom scattering factors, no anomalous dispersion.

The 10 most intense peaks (2θ = 10–80°), by intensity:
Position (°2θ), Rel. int., hkl
32.9, 100, 2 1 0
32.6, 52, 1 1 4
46.7, 35, 2 0 4
58.4, 29, 3 2 4
40.5, 23, 2 2 2
47.8, 16, 2 2 -4
69.0, 15, 4 2 0
59.0, 14, 3 1 -4
68.2, 10, 2 -2 0
58.3, 10, 2 3 4

Atomic structure:
```
data_SrLa2Co3O9
_cell_length_a 5.442
_cell_length_b 5.445
_cell_length_c 13.364
_cell_angle_alpha 89.00
_cell_angle_beta 89.03
_cell_angle_gamma 60.68
_symmetry_space_group_name_H-M 'P 1'
_symmetry_Int_Tables_number 1
_symmetry_space_group_name_Hall 'P 1'
loop_
_atom_site_label
_atom_site_type_symbol
_atom_site_fract_x
_atom_site_fract_y
_atom_site_fract_z
Sr1 Sr 0.000 0.000 0.000
Sr2 Sr 0.000 0.000 0.495
La1 La 0.334 0.333 0.833
La2 La 0.335 0.333 0.329
La3 La 0.667 0.666 0.662
La4 La 0.667 0.668 0.167
Co1 Co 0.000 0.000 0.748
Co2 Co 0.000 0.001 0.248
Co3 Co 0.332 0.333 0.581
Co4 Co 0.334 0.334 0.081
Co5 Co 0.666 0.667 0.414
Co6 Co 0.667 0.667 0.914
O1 O 0.006 0.498 0.502
O2 O 0.170 0.664 0.170
O3 O 0.171 0.171 0.166
O4 O 0.172 0.656 0.669
O5 O 0.173 0.171 0.666
O6 O 0.335 0.834 0.326
O7 O 0.342 0.828 0.827
O8 O 0.496 0.009 0.502
O9 O 0.499 0.498 0.995
O10 O 0.500 0.503 0.500
O11 O 0.504 0.991 0.994
O12 O 0.657 0.173 0.668
O13 O 0.666 0.168 0.169
O14 O 0.827 0.344 0.827
O15 O 0.827 0.829 0.829
O16 O 0.827 0.834 0.330
O17 O 0.831 0.337 0.325
O18 O 0.993 0.503 0.993
```


Entry 3:
Structure and theoretical X-ray powder pattern of Dy2CoPtO6 (a DFT-relaxed cell (PBE+U, the Materials Project); CuKα).
Neutral-atom scattering factors, no anomalous dispersion.

The 10 most intense peaks (2θ = 10–80°), by intensity:
Position (°2θ), Rel. int., hkl
32.6, 100, 1 1 -3
33.6, 24, 2 0 -2
31.0, 19, 0 2 0
46.3, 16, 2 2 -2
59.4, 16, 2 0 -6
25.5, 15, 1 1 -2
47.2, 13, 0 0 4
19.2, 12, 0 1 1
59.5, 12, 3 1 -5
51.9, 12, 1 3 0

Atomic structure:
```
data_Dy2CoPtO6
_cell_length_a 5.336
_cell_length_b 5.774
_cell_length_c 9.348
_cell_angle_alpha 90.00
_cell_angle_beta 124.59
_cell_angle_gamma 90.00
_symmetry_space_group_name_H-M 'P 1 21/c 1'
_symmetry_Int_Tables_number 14
_symmetry_space_group_name_Hall '-P 2ybc'
loop_
_atom_site_label
_atom_site_type_symbol
_atom_site_fract_x
_atom_site_fract_y
_atom_site_fract_z
Dy1 Dy 0.223 0.076 0.248
Co1 Co 0.000 0.000 0.500
Pt1 Pt 0.500 0.000 0.000
O1 O 0.126 0.189 0.942
O2 O 0.251 0.698 0.934
O3 O 0.378 0.051 0.751
```


Entry 4:
Structure and theoretical X-ray powder pattern of LiCrSiO4 (a DFT-relaxed cell (PBE+U, the Materials Project); CuKα).
Neutral-atom scattering factors, no anomalous dispersion.

The 10 most intense peaks (2θ = 10–80°), by intensity:
Position (°2θ), Rel. int., hkl
17.3, 100, 2 0 0
35.9, 56, 1 1 2
32.3, 33, 3 1 0
22.5, 22, 2 0 1
51.9, 22, 2 2 2
20.7, 20, 1 1 0
39.1, 16, 2 1 2
43.9, 16, 3 1 2
62.0, 15, 6 0 2
61.2, 12, 4 2 2

Atomic structure:
```
data_LiCrSiO4
_cell_length_a 10.276
_cell_length_b 4.735
_cell_length_c 6.150
_cell_angle_alpha 90.00
_cell_angle_beta 90.00
_cell_angle_gamma 90.00
_symmetry_space_group_name_H-M 'P n a 21'
_symmetry_Int_Tables_number 33
_symmetry_space_group_name_Hall 'P 2c -2n'
loop_
_atom_site_label
_atom_site_type_symbol
_atom_site_fract_x
_atom_site_fract_y
_atom_site_fract_z
Li1 Li 0.215 0.018 0.000
Cr1 Cr 0.000 0.500 0.251
Si1 Si 0.090 0.081 0.501
O1 O 0.057 0.750 0.001
O2 O 0.081 0.734 0.501
O3 O 0.150 0.221 0.724
O4 O 0.150 0.222 0.279
```


Entry 5:
Structure and theoretical X-ray powder pattern of FeC3SO3 (a DFT-relaxed cell (PBE+U, the Materials Project); CuKα).
Neutral-atom scattering factors, no anomalous dispersion.

The 10 most intense peaks (2θ = 10–80°), by intensity:
Position (°2θ), Rel. int., hkl
14.3, 100, 1 0 1
15.7, 73, 0 0 2
16.2, 58, 1 1 0
13.4, 54, 0 1 1
17.3, 54, 1 0 -1
19.8, 54, 1 1 2
28.9, 43, 0 2 -2
11.5, 35, 0 1 0
32.1, 34, 1 1 4
30.5, 32, -1 2 1

Atomic structure:
```
data_FeC3SO3
_cell_length_a 6.746
_cell_length_b 7.913
_cell_length_c 11.630
_cell_angle_alpha 83.42
_cell_angle_beta 76.16
_cell_angle_gamma 78.18
_symmetry_space_group_name_H-M 'P -1'
_symmetry_Int_Tables_number 2
_symmetry_space_group_name_Hall '-P 1'
loop_
_atom_site_label
_atom_site_type_symbol
_atom_site_fract_x
_atom_site_fract_y
_atom_site_fract_z
Fe1 Fe 0.139 0.010 0.219
Fe2 Fe 0.287 0.686 0.262
C1 C 0.049 0.607 0.322
C2 C 0.111 0.209 0.129
C3 C 0.129 0.006 0.724
C4 C 0.168 0.095 0.350
C5 C 0.344 0.705 0.403
C6 C 0.457 0.485 0.226
S1 S 0.238 0.809 0.082
S2 S 0.466 0.877 0.144
O1 O 0.089 0.341 0.074
O2 O 0.103 0.447 0.640
O3 O 0.184 0.153 0.433
O4 O 0.301 0.017 0.687
O5 O 0.380 0.717 0.494
O6 O 0.432 0.646 0.794
```


Entry 6:
Structure and theoretical X-ray powder pattern of Li9Mn2Co5O16 (a DFT-relaxed cell (PBE+U, the Materials Project); CuKα).
Neutral-atom scattering factors, no anomalous dispersion.

The 10 most intense peaks (2θ = 10–80°), by intensity:
Position (°2θ), Rel. int., hkl
18.3, 100, 0 1 1
43.0, 29, 1 -3 1
43.5, 28, 2 1 1
44.2, 26, 1 0 -4
63.0, 15, 3 -2 2
35.6, 14, 1 -2 2
35.9, 14, 2 0 0
36.5, 13, 1 1 -3
47.6, 9, 1 3 -1
37.6, 8, -2 1 1

Atomic structure:
```
data_Li9Mn2Co5O16
_cell_length_a 5.073
_cell_length_b 6.649
_cell_length_c 8.709
_cell_angle_alpha 98.06
_cell_angle_beta 94.58
_cell_angle_gamma 98.07
_symmetry_space_group_name_H-M 'P 1'
_symmetry_Int_Tables_number 1
_symmetry_space_group_name_Hall 'P 1'
loop_
_atom_site_label
_atom_site_type_symbol
_atom_site_fract_x
_atom_site_fract_y
_atom_site_fract_z
Li1 Li 0.000 0.000 0.000
Li2 Li 0.000 0.259 0.761
Li3 Li 0.241 0.694 0.820
Li4 Li 0.483 0.397 0.637
Li5 Li 0.483 0.874 0.122
Li6 Li 0.495 0.128 0.885
Li7 Li 0.498 0.626 0.380
Li8 Li 0.980 0.755 0.255
Li9 Li 0.998 0.510 0.514
Mn1 Mn 0.243 0.194 0.320
Mn2 Mn 0.743 0.812 0.693
Co1 Co 0.245 0.935 0.578
Co2 Co 0.246 0.450 0.060
Co3 Co 0.742 0.323 0.189
Co4 Co 0.749 0.581 0.944
Co5 Co 0.750 0.068 0.447
O1 O 0.098 0.709 0.039
O2 O 0.105 0.969 0.771
O3 O 0.113 0.216 0.526
O4 O 0.122 0.450 0.283
O5 O 0.360 0.166 0.115
O6 O 0.373 0.941 0.363
O7 O 0.376 0.414 0.865
O8 O 0.392 0.680 0.601
O9 O 0.598 0.336 0.399
O10 O 0.611 0.592 0.161
O11 O 0.630 0.846 0.898
O12 O 0.634 0.078 0.651
O13 O 0.850 0.557 0.725
O14 O 0.861 0.295 0.987
O15 O 0.872 0.790 0.484
O16 O 0.882 0.051 0.245
```


Entry 7:
Structure and theoretical X-ray powder pattern of RbNiWO3F3 (a DFT-relaxed cell (PBE+U, the Materials Project); CuKα).
Neutral-atom scattering factors, no anomalous dispersion.

The 10 most intense peaks (2θ = 10–80°), by intensity:
Position (°2θ), Rel. int., hkl
14.6, 100, 1 1 -1
28.1, 74, 1 3 -1
27.6, 68, 1 1 1
28.6, 61, 3 1 -1
29.5, 58, 2 2 -2
29.4, 48, 2 2 0
16.8, 29, 0 2 0
49.7, 29, 4 4 -2
48.4, 28, 0 4 2
44.7, 26, 1 5 -1

Atomic structure:
```
data_RbNiWO3F3
_cell_length_a 10.246
_cell_length_b 10.534
_cell_length_c 7.393
_cell_angle_alpha 90.00
_cell_angle_beta 133.32
_cell_angle_gamma 90.00
_symmetry_space_group_name_H-M 'C 1 2 1'
_symmetry_Int_Tables_number 5
_symmetry_space_group_name_Hall 'C 2y'
loop_
_atom_site_label
_atom_site_type_symbol
_atom_site_fract_x
_atom_site_fract_y
_atom_site_fract_z
Rb1 Rb 0.000 0.000 0.000
Rb2 Rb 0.000 0.275 0.500
Ni1 Ni 0.000 0.637 0.251
W1 W 0.250 0.387 0.250
O1 O 0.000 0.333 0.000
O2 O 0.000 0.941 0.500
O3 O 0.189 0.515 0.352
O4 O 0.189 0.759 0.852
F1 F 0.000 0.558 0.500
F2 F 0.000 0.717 0.000
F3 F 0.212 0.504 0.004
F4 F 0.212 0.771 0.504
```